1.
Simulated powder diffractogram
Compound: Lu3Ga10Ni
Radiation: a wavelength of 1.5418 Å
Structure: DFT lattice parameters and positions (GGA-PBE)

Crystal structure
```
Lu3Ga10Ni
1.0
7.812 -2.080 0.000
7.812 2.080 0.000
-5.973 0.000 7.852
Lu Ga Ni
3 10 1
direct
0.000 0.000 0.000 Lu
0.321 0.321 0.336 Lu
0.633 0.633 0.642 Lu
0.153 0.153 0.882 Ga
0.166 0.166 0.453 Ga
0.318 0.318 0.827 Ga
0.469 0.469 0.208 Ga
0.473 0.473 0.741 Ga
0.662 0.662 0.297 Ga
0.664 0.664 0.051 Ga
0.822 0.822 0.039 Ga
0.822 0.822 0.619 Ga
0.974 0.974 0.381 Ga
0.973 0.973 0.618 Ni
```

Largest 12 diffraction maxima, by angle, 2θ from 15° to 90°:
23.20°, d = 3.833 Å, rel. 16; 30.44°, d = 2.936 Å, rel. 27; 34.26°, d = 2.617 Å, rel. 18; 34.78°, d = 2.579 Å, rel. 43; 35.21°, d = 2.549 Å, rel. 100; 35.41°, d = 2.535 Å, rel. 18; 35.96°, d = 2.498 Å, rel. 95; 36.45°, d = 2.465 Å, rel. 19; 37.43°, d = 2.403 Å, rel. 17; 43.50°, d = 2.080 Å, rel. 58; 43.68°, d = 2.072 Å, rel. 40; 63.35°, d = 1.468 Å, rel. 26

---

2.
Simulated powder diffractogram
Compound: Mg2Sn
Radiation: a wavelength of 1.5418 Å
Structure: DFT lattice parameters and positions (GGA-PBE)

Crystal structure
```
Mg2Sn
1.0
5.876 -1.685 0.000
5.876 1.685 0.000
-2.367 0.000 7.296
Mg Sn
4 2
direct
0.026 0.026 0.306 Mg
0.305 0.305 0.363 Mg
0.695 0.695 0.637 Mg
0.974 0.974 0.694 Mg
0.361 0.361 0.968 Sn
0.639 0.639 0.032 Sn
```

Largest 12 diffraction maxima, by angle, 2θ from 15° to 90°:
24.40°, d = 3.648 Å, rel. 34; 27.65°, d = 3.227 Å, rel. 24; 29.25°, d = 3.053 Å, rel. 32; 30.52°, d = 2.929 Å, rel. 23; 31.29°, d = 2.858 Å, rel. 33; 33.85°, d = 2.648 Å, rel. 58; 35.46°, d = 2.531 Å, rel. 100; 35.93°, d = 2.499 Å, rel. 75; 36.96°, d = 2.432 Å, rel. 32; 37.86°, d = 2.376 Å, rel. 31; 40.50°, d = 2.227 Å, rel. 20; 58.14°, d = 1.587 Å, rel. 25

---

3.
Simulated powder diffractogram
Compound: Lu3Si2Ni6
Radiation: a wavelength of 1.5418 Å
Structure: DFT lattice parameters and positions (GGA-PBE)

Crystal structure
```
Lu3Si2Ni6
1.0
-4.311 4.311 4.311
4.311 -4.311 4.311
4.311 4.311 -4.311
Lu Si Ni
6 4 12
direct
0.000 0.283 0.283 Lu
0.000 0.717 0.717 Lu
0.283 0.000 0.283 Lu
0.283 0.283 0.000 Lu
0.717 0.000 0.717 Lu
0.717 0.717 0.000 Lu
0.000 0.000 0.500 Si
0.000 0.500 0.000 Si
0.500 0.000 0.000 Si
0.500 0.500 0.500 Si
0.000 0.332 0.668 Ni
0.000 0.668 0.332 Ni
0.332 0.000 0.668 Ni
0.332 0.332 0.663 Ni
0.332 0.663 0.332 Ni
0.332 0.668 0.000 Ni
0.337 0.668 0.668 Ni
0.663 0.332 0.332 Ni
0.668 0.000 0.332 Ni
0.668 0.332 0.000 Ni
0.668 0.337 0.668 Ni
0.668 0.668 0.337 Ni
```

Largest 12 diffraction maxima, by angle, 2θ from 15° to 90°:
25.30°, d = 3.520 Å, rel. 25; 29.30°, d = 3.048 Å, rel. 18; 32.85°, d = 2.726 Å, rel. 44; 36.09°, d = 2.489 Å, rel. 35; 39.09°, d = 2.304 Å, rel. 34; 41.92°, d = 2.155 Å, rel. 27; 44.59°, d = 2.032 Å, rel. 100; 58.65°, d = 1.574 Å, rel. 17; 62.85°, d = 1.479 Å, rel. 14; 66.90°, d = 1.399 Å, rel. 22; 72.76°, d = 1.300 Å, rel. 21; 82.16°, d = 1.173 Å, rel. 22